Starting from a GGA-PBE-relaxed structure, the powder diffractogram of LaFe8Si5 was simulated for Cu Kα, 1.54184 Å.
No peak broadening, texture or thermal motion is included.

Top 10 peaks for 2θ = 10–90°, in order of falling intensity:
2θ (°)	Rel. int.
39.7	100
46.9	37
48.1	34
38.6	28
34.9	24
36.0	20
36.4	20
22.8	14
49.9	13
30.7	11

Atomic structure:
```
28
Lattice="5.521 -5.815 0.000 5.521 5.815 0.000 -5.506 0.000 5.523" Properties=species:S:1:pos:R:3 pbc="T T T"
La 5.521 2.933 0.000
La 5.521 -2.933 0.000
Fe -2.753 0.000 2.761
Fe 1.388 3.751 2.787
Fe -0.712 0.000 1.377
Fe 2.752 2.059 1.361
Fe -0.709 0.000 4.038
Fe 4.148 3.751 2.736
Fe 4.037 0.000 0.713
Fe 2.784 2.059 4.162
Fe 2.768 0.000 2.761
Fe 2.752 -2.059 1.361
Fe 1.499 0.000 4.810
Fe 1.388 -3.751 2.787
Fe 6.245 0.000 1.485
Fe 2.784 -2.059 4.162
Fe 6.248 0.000 4.146
Fe 4.148 -3.751 2.736
Si -2.699 1.451 4.604
Si 1.530 0.000 0.786
Si 0.879 1.451 2.828
Si -2.699 -1.451 4.604
Si 0.879 -1.451 2.828
Si 4.657 1.451 2.695
Si 8.235 1.451 0.919
Si 4.657 -1.451 2.695
Si 4.006 0.000 4.737
Si 8.235 -1.451 0.919
```